The following is a calculated XRD peak list of BaHo2CoO5. It was derived from a structure optimized by DFT (GGA+U), using Cu Kα.

Main lines, by angle (2θ = 15–90°):
hkl  2theta  intensity
3 1 1  29.54  100
1 1 2  30.46  78
0 2 0  31.16  51
4 0 1  31.64  21
4 1 0  32.99  18
3 1 2  36.92  15
4 2 1  45.00  31
3 3 1  54.44  18
1 3 2  55.00  18
4 2 3  58.74  17

Structural model:
```
BaHo2CoO5
1.0
12.3300 0.0000 0.0000
0.0000 5.7412 0.0000
0.0000 0.0000 7.1078
Ba Ho Co O
4 8 4 20
direct
0.1001 0.2500 0.0785
0.3999 0.7500 0.5785
0.6001 0.2500 0.4215
0.8999 0.7500 0.9215
0.0745 0.7500 0.4012
0.2085 0.2500 0.6190
0.2915 0.7500 0.1190
0.4255 0.2500 0.9012
0.5745 0.7500 0.0988
0.7085 0.2500 0.8810
0.7915 0.7500 0.3810
0.9255 0.2500 0.5988
0.1525 0.7500 0.8074
0.3475 0.2500 0.3074
0.6525 0.7500 0.6926
0.8475 0.2500 0.1926
0.0658 0.5033 0.6656
0.0658 0.9967 0.6656
0.1025 0.7500 0.0763
0.2247 0.0008 0.3605
0.2247 0.4992 0.3605
0.2753 0.5008 0.8605
0.2753 0.9992 0.8605
0.3975 0.2500 0.5763
0.4342 0.0033 0.1656
0.4342 0.4967 0.1656
0.5658 0.5033 0.8344
0.5658 0.9967 0.8344
0.6025 0.7500 0.4237
0.7247 0.0008 0.1395
0.7247 0.4992 0.1395
0.7753 0.5008 0.6395
0.7753 0.9992 0.6395
0.8975 0.2500 0.9237
0.9342 0.0033 0.3344
0.9342 0.4967 0.3344
```

The following is a calculated XRD peak list of NaVF6. It was derived from a structure optimized by DFT (GGA+U), using Cu Kα.

Main lines, by angle (2θ = 15–90°):
hkl  2theta  intensity
2 0 0  18.38  30
0 1 1  18.52  21
1 1 1  20.69  100
1 0 2  24.09  42
2 1 1  26.21  73
3 2 1  42.79  25
3 0 3  44.11  19
3 2 2  47.30  17
4 2 0  48.46  24
2 3 1  50.82  11

Structural model:
```
NaVF6
1.0
9.6543 0.0000 0.0000
0.0000 5.9844 0.0000
0.0000 0.0000 7.9982
Na V F
4 4 24
direct
0.0042 0.2500 0.1667
0.4958 0.7500 0.6667
0.5042 0.2500 0.3333
0.9958 0.7500 0.8333
0.2279 0.2500 0.6155
0.2721 0.7500 0.1155
0.7279 0.2500 0.8845
0.7721 0.7500 0.3845
0.1065 0.0345 0.6724
0.1065 0.4655 0.6724
0.1435 0.5381 0.0513
0.1435 0.9619 0.0513
0.1647 0.2500 0.4011
0.1978 0.7500 0.3193
0.3022 0.2500 0.8193
0.3353 0.7500 0.9011
0.3565 0.0381 0.5513
0.3565 0.4619 0.5513
0.3935 0.5345 0.1724
0.3935 0.9655 0.1724
0.6065 0.0345 0.8276
0.6065 0.4655 0.8276
0.6435 0.5381 0.4487
0.6435 0.9619 0.4487
0.6647 0.2500 0.0989
0.6978 0.7500 0.1807
0.8022 0.2500 0.6807
0.8353 0.7500 0.5989
0.8565 0.0381 0.9487
0.8565 0.4619 0.9487
0.8935 0.5345 0.3276
0.8935 0.9655 0.3276
```